Structure and computed PXRD pattern of Ac2I4O (DFT lattice parameters and positions (GGA-PBE); Cu Kα).

Cell and atoms:
Unit cell a=13.7446 b=13.7446 c=3.9486 alpha=90.00 beta=90.00 gamma=90.00
Positions (direct):
Ac (0.0932, 0.0932, 0.0000)
Ac (0.4068, 0.5932, 0.5000)
Ac (0.5932, 0.4068, 0.5000)
Ac (0.9068, 0.9068, 0.0000)
I (0.0492, 0.2763, 0.5000)
I (0.2237, 0.5492, 0.0000)
I (0.2763, 0.0492, 0.5000)
I (0.4508, 0.7763, 0.0000)
I (0.5492, 0.2237, 0.0000)
I (0.7237, 0.9508, 0.5000)
I (0.7763, 0.4508, 0.0000)
I (0.9508, 0.7237, 0.5000)
O (0.0000, 0.0000, 0.5000)
O (0.5000, 0.5000, 0.0000)

Most intense lines, 2θ = 10–90°, in order of rising 2θ:
| d_spacing | I_rel |
| --- | --- |
| 6.147 | 99 |
| 4.859 | 24 |
| 3.327 | 100 |
| 3.064 | 35 |
| 2.991 | 20 |
| 2.696 | 31 |
| 2.547 | 40 |
| 2.505 | 56 |
| 2.427 | 19 |
| 1.887 | 18 |

Structure and computed PXRD pattern of Ho6TeC3 (DFT lattice parameters and positions (GGA-PBE); Cu Kα).

Cell and atoms:
Unit cell a=10.3257 b=3.6773 c=11.5689 alpha=90.00 beta=101.90 gamma=90.00
Positions (direct):
Ho (0.0238, 0.2500, 0.1254)
Ho (0.1130, 0.7500, 0.4532)
Ho (0.1736, 0.2500, 0.7456)
Ho (0.2904, 0.7500, 0.0220)
Ho (0.3013, 0.2500, 0.3025)
Ho (0.4193, 0.2500, 0.5843)
Ho (0.5807, 0.7500, 0.4157)
Ho (0.6987, 0.7500, 0.6975)
Ho (0.7096, 0.2500, 0.9780)
Ho (0.8264, 0.7500, 0.2544)
Ho (0.8870, 0.2500, 0.5468)
Ho (0.9762, 0.7500, 0.8746)
Te (0.4526, 0.7500, 0.8171)
Te (0.5474, 0.2500, 0.1829)
C (0.0243, 0.7500, 0.6543)
C (0.1404, 0.2500, 0.9477)
C (0.3528, 0.7500, 0.4411)
C (0.6472, 0.2500, 0.5589)
C (0.8596, 0.7500, 0.0523)
C (0.9757, 0.2500, 0.3457)

Most intense lines, 2θ = 10–90°, in order of rising 2θ:
| d_spacing | I_rel |
| --- | --- |
| 3.046 | 71 |
| 2.793 | 86 |
| 2.774 | 95 |
| 2.762 | 88 |
| 2.720 | 100 |
| 2.581 | 90 |
| 1.928 | 46 |
| 1.838 | 58 |
| 1.531 | 46 |
| 1.523 | 53 |